Starting from a crystal structure in Alexandria, relaxed with PBE, the powder diffractogram of BrO2 was simulated for Cu Kα (λ = 1.5418 Å).

Top 10 peaks for 2θ = 10–80°, by intensity:
- d 4.300, 20.7°, I = 100.0, hkl 1 0 0
- d 4.415, 20.1°, I = 77.2, hkl 0 1 1
- d 2.819, 31.7°, I = 73.8, hkl -1 1 1
- d 3.434, 25.9°, I = 52.8, hkl 1 1 1
- d 3.766, 23.6°, I = 41.3, hkl 0 1 -1
- d 2.596, 34.6°, I = 29.1, hkl 1 0 2
- d 5.598, 15.8°, I = 27.2, hkl 0 1 0
- d 2.937, 30.4°, I = 23.0, hkl 0 0 2
- d 2.799, 32.0°, I = 21.4, hkl 0 2 0
- d 2.208, 40.9°, I = 15.9, hkl 0 2 2

Structure:
```
data_BrO2
_cell_length_a 4.385
_cell_length_b 5.727
_cell_length_c 6.024
_cell_angle_alpha 79.82
_cell_angle_beta 80.91
_cell_angle_gamma 81.83
_space_group_name_H-M_alt 'P 1'
_space_group_IT_number 1
loop_
_space_group_symop_operation_xyz
'x,y,z'
loop_
_atom_site_label
_atom_site_fract_x
_atom_site_fract_y
_atom_site_fract_z
Br1 0.000 0.000 0.000
Br2 0.067 0.558 0.494
O1 0.133 0.845 0.349
O2 0.660 0.829 0.705
O3 0.727 0.014 0.582
O4 0.958 0.173 0.719
```

Starting from a crystal structure in Alexandria, relaxed with PBE, the powder diffractogram of CaNi5 was simulated for Cu Kα (λ = 1.5418 Å).

Top 10 peaks for 2θ = 10–80°, by intensity:
- d 2.090, 43.3°, I = 100.0, hkl 2 3 1
- d 4.276, 20.8°, I = 49.3, hkl 0 1 1
- d 1.879, 48.4°, I = 40.4, hkl 2 2 2
- d 1.963, 46.3°, I = 33.3, hkl 4 0 0
- d 1.875, 48.6°, I = 20.8, hkl 2 4 0
- d 2.140, 42.2°, I = 20.2, hkl 0 2 2
- d 1.446, 64.4°, I = 14.9, hkl 4 2 2
- d 1.341, 70.2°, I = 12.6, hkl 2 3 3
- d 1.233, 77.4°, I = 12.5, hkl 0 6 2
- d 2.466, 36.4°, I = 11.3, hkl 0 3 1

Structure:
```
data_CaNi5
_cell_length_a 7.851
_cell_length_b 8.536
_cell_length_c 4.946
_cell_angle_alpha 90.00
_cell_angle_beta 90.00
_cell_angle_gamma 90.00
_space_group_name_H-M_alt 'I m m a'
_space_group_IT_number 74
_space_group_name_Hall '-I 2b 2'
loop_
_atom_site_label
_atom_site_fract_x
_atom_site_fract_y
_atom_site_fract_z
Ca1 0.000 0.250 0.234
Ni1 0.000 0.084 0.725
Ni2 0.242 0.000 0.000
Ni3 0.250 0.250 0.750
```

Starting from a crystal structure in Alexandria, relaxed with PBE, the powder diffractogram of Sm5Sb2H was simulated for Cu Kα (λ = 1.5418 Å).

Top 10 peaks for 2θ = 10–80°, by intensity:
- d 2.760, 32.4°, I = 100.0, hkl 2 0 2
- d 2.496, 36.0°, I = 38.0, hkl 2 2 0
- d 1.487, 62.5°, I = 30.3, hkl 4 2 2
- d 1.656, 55.5°, I = 21.7, hkl 2 2 4
- d 2.215, 40.7°, I = 13.4, hkl 0 0 4
- d 1.765, 51.8°, I = 13.4, hkl 4 0 0
- d 5.520, 16.1°, I = 12.7, hkl 1 0 1
- d 1.380, 67.9°, I = 11.8, hkl 4 0 4
- d 1.362, 68.9°, I = 11.2, hkl 2 0 6
- d 2.973, 30.1°, I = 5.6, hkl 2 1 1

Structure:
```
data_Sm5Sb2H
_cell_length_a 7.058
_cell_length_b 7.058
_cell_length_c 8.858
_cell_angle_alpha 90.00
_cell_angle_beta 90.00
_cell_angle_gamma 90.00
_space_group_name_H-M_alt 'I 4 m m'
_space_group_IT_number 107
_space_group_name_Hall 'I 4 -2'
loop_
_atom_site_label
_atom_site_fract_x
_atom_site_fract_y
_atom_site_fract_z
Sm1 0.000 0.000 0.000
Sm2 0.249 0.249 0.754
Sb1 0.000 0.500 0.005
H1 0.000 0.000 0.735
```

Starting from a crystal structure in Alexandria, relaxed with PBE, the powder diffractogram of Rb2CaTeS4 was simulated for Cu Kα (λ = 1.5418 Å).

Top 10 peaks for 2θ = 10–80°, by intensity:
- d 3.034, 29.4°, I = 100.0, hkl 2 2 0
- d 2.145, 42.1°, I = 44.7, hkl 2 2 4
- d 3.555, 25.0°, I = 22.2, hkl 0 2 2
- d 3.453, 25.8°, I = 19.5, hkl 2 0 2
- d 1.357, 69.2°, I = 16.6, hkl 4 4 4
- d 2.193, 41.2°, I = 11.7, hkl 0 4 0
- d 7.111, 12.4°, I = 11.5, hkl 0 1 1
- d 2.100, 43.1°, I = 11.1, hkl 4 0 0
- d 1.727, 53.0°, I = 11.1, hkl 4 0 4
- d 1.778, 51.4°, I = 11.1, hkl 0 4 4

Structure:
```
data_Rb2CaTeS4
_cell_length_a 8.399
_cell_length_b 8.774
_cell_length_c 12.138
_cell_angle_alpha 90.00
_cell_angle_beta 90.00
_cell_angle_gamma 90.00
_space_group_name_H-M_alt 'I m m a'
_space_group_IT_number 74
_space_group_name_Hall '-I 2b 2'
loop_
_atom_site_label
_atom_site_fract_x
_atom_site_fract_y
_atom_site_fract_z
Rb1 0.000 0.000 0.000
Rb2 0.250 0.250 0.250
Ca1 0.000 0.000 0.500
Te1 0.250 0.250 0.750
S1 0.000 0.043 0.739
S2 0.222 0.250 0.527
```

Starting from a crystal structure in Alexandria, relaxed with PBE, the powder diffractogram of KPmBN2 was simulated for Cu Kα (λ = 1.5418 Å).

Top 10 peaks for 2θ = 10–80°, by intensity:
- d 3.773, 23.6°, I = 100.0, hkl 1 1 0
- d 2.620, 34.2°, I = 99.6, hkl 1 1 2
- d 4.912, 18.1°, I = 65.7, hkl 1 0 0
- d 5.894, 15.0°, I = 36.2, hkl 0 1 0
- d 2.291, 39.3°, I = 34.8, hkl 0 2 2
- d 3.642, 24.4°, I = 33.5, hkl 0 0 2
- d 3.098, 28.8°, I = 27.7, hkl 0 1 2
- d 2.456, 36.6°, I = 25.8, hkl 2 0 0
- d 1.675, 54.8°, I = 25.2, hkl 2 2 2
- d 2.947, 30.3°, I = 24.1, hkl 0 2 0

Structure:
```
data_KPmBN2
_cell_length_a 4.912
_cell_length_b 5.894
_cell_length_c 7.283
_cell_angle_alpha 90.00
_cell_angle_beta 90.01
_cell_angle_gamma 90.00
_space_group_name_H-M_alt 'P 1 2/c 1'
_space_group_IT_number 13
loop_
_space_group_symop_operation_xyz
'x,y,z'
'-x,-y,-z'
'-x,y,-z+1/2'
'x,-y,z+1/2'
loop_
_atom_site_label
_atom_site_fract_x
_atom_site_fract_y
_atom_site_fract_z
K1 0.000 0.022 0.250
Pm1 0.500 0.491 0.750
B1 0.500 0.000 0.000
N1 0.497 0.227 0.005
```

Starting from a crystal structure in Alexandria, relaxed with PBE, the powder diffractogram of CsUCu2O6 was simulated for Cu Kα (λ = 1.5418 Å).

Top 10 peaks for 2θ = 10–80°, by intensity:
- d 3.391, 26.3°, I = 100.0, hkl 2 2 -1
- d 5.349, 16.6°, I = 63.9, hkl 1 1 -1
- d 4.835, 18.4°, I = 49.8, hkl 2 0 0
- d 2.832, 31.6°, I = 46.0, hkl 1 3 1
- d 3.309, 26.9°, I = 45.1, hkl 0 0 2
- d 2.031, 44.6°, I = 35.2, hkl 0 2 3
- d 3.540, 25.2°, I = 34.6, hkl 2 2 0
- d 4.087, 21.7°, I = 33.6, hkl 0 2 1
- d 2.907, 30.8°, I = 31.1, hkl 2 2 1
- d 2.361, 38.1°, I = 28.0, hkl 3 3 0

Structure:
```
data_CsUCu2O6
_cell_length_a 9.988
_cell_length_b 10.393
_cell_length_c 6.837
_cell_angle_alpha 90.00
_cell_angle_beta 104.52
_cell_angle_gamma 90.00
_space_group_name_H-M_alt 'C 1 2/c 1'
_space_group_IT_number 15
loop_
_space_group_symop_operation_xyz
'x,y,z'
'-x,-y,-z'
'-x,y,-z+1/2'
'x,-y,z+1/2'
'x+1/2,y+1/2,z'
'-x+1/2,-y+1/2,-z'
'-x+1/2,y+1/2,-z+1/2'
'x+1/2,-y+1/2,z+1/2'
loop_
_atom_site_label
_atom_site_fract_x
_atom_site_fract_y
_atom_site_fract_z
Cs1 0.000 0.101 0.250
U1 0.000 0.312 0.750
Cu1 0.194 0.428 0.127
O1 0.020 0.336 0.044
O2 0.140 0.161 0.764
O3 0.176 0.449 0.831
```